The following is a simulated X-ray diffraction stick pattern of TiGa2F2. It was derived from a DFT-relaxed cell (PBE, Alexandria), using Cu Kα X-rays.
Peak positions follow from Bragg's law for the DFT cell and can differ from measured ones.

Atomic structure:
```
5
Lattice="-1.654 1.654 6.537 1.654 -1.654 6.537 1.654 1.654 -6.537" Properties=species:S:1:pos:R:3 pbc="T T T"
Ti 0.000 0.000 0.000
Ga 0.000 0.000 4.773
Ga 0.000 0.000 8.300
F 1.654 0.000 3.268
F 0.000 1.654 3.268
```

Peak list (10 most intense, 2θ from 10° to 80°, by angle)
27.82°, intensity 14; 34.03°, intensity 100; 38.49°, intensity 30; 40.98°, intensity 9; 44.15°, intensity 22; 47.82°, intensity 23; 55.56°, intensity 21; 56.29°, intensity 9; 57.83°, intensity 13; 66.78°, intensity 26

***

The following is a simulated X-ray diffraction stick pattern of La2YTm4. It was derived from a DFT-relaxed cell (PBE, Alexandria), using Cu Kα X-rays.
Peak positions follow from Bragg's law for the DFT cell and can differ from measured ones.

Atomic structure:
```
14
Lattice="6.045 0.000 0.000 2.634 8.107 0.000 2.036 -0.343 9.336" Properties=species:S:1:pos:R:3 pbc="T T T"
La 0.000 0.000 0.000
La 1.665 0.674 6.064
La 7.714 7.675 3.531
La 7.511 3.987 4.748
Y 2.421 4.658 1.415
Y 8.304 3.380 8.185
Tm 2.213 1.257 2.621
Tm 4.547 5.803 4.182
Tm 5.283 4.924 7.466
Tm 4.501 2.397 5.436
Tm 5.219 1.559 8.695
Tm 5.500 6.377 0.891
Tm 5.319 2.993 2.128
Tm 8.071 6.656 6.909
```

Peak list (10 most intense, 2θ from 10° to 80°, by angle)
29.76°, intensity 51; 30.96°, intensity 64; 31.16°, intensity 100; 31.47°, intensity 76; 32.29°, intensity 29; 32.81°, intensity 70; 33.09°, intensity 56; 35.29°, intensity 22; 40.89°, intensity 18; 48.32°, intensity 24

***

The following is a simulated X-ray diffraction stick pattern of CaY5P6. It was derived from a DFT-relaxed cell (PBE, Alexandria), using Cu Kα X-rays.
Peak positions follow from Bragg's law for the DFT cell and can differ from measured ones.

Atomic structure:
```
12
Lattice="3.488 -6.046 0.000 3.488 6.046 0.000 -2.328 0.000 6.595" Properties=species:S:1:pos:R:3 pbc="T T T"
Ca 0.000 0.000 0.000
Y 2.324 4.046 3.297
Y 3.488 2.021 0.000
Y 2.324 0.000 3.297
Y 3.488 -2.021 0.000
Y 2.324 -4.046 3.297
P 1.184 2.051 1.668
P 0.040 0.000 4.924
P 1.184 -2.051 1.668
P 3.463 2.051 4.927
P 4.607 0.000 1.671
P 3.463 -2.051 4.927
```

Peak list (10 most intense, 2θ from 10° to 80°, by angle)
27.09°, intensity 40; 31.38°, intensity 100; 44.96°, intensity 70; 53.28°, intensity 16; 55.76°, intensity 6; 55.89°, intensity 18; 65.48°, intensity 11; 72.27°, intensity 4; 74.37°, intensity 20; 74.47°, intensity 10